# CsVSiO4
Simulated powder X-ray diffraction pattern, Cu Ka. Input: a crystal structure in Alexandria, relaxed with GGA+U.

Largest 10 diffraction maxima, by intensity, 10° ≤ 2θ ≤ 90°:
27.78°, intensity 100, hkl 0 1 2
26.42°, intensity 51, hkl 1 1 1
23.50°, intensity 42, hkl 1 1 0
32.36°, intensity 35, hkl 0 2 0
25.78°, intensity 31, hkl 1 1 -1
51.57°, intensity 30, hkl 1 1 -4
45.68°, intensity 26, hkl 2 1 2
28.99°, intensity 19, hkl 1 0 2
39.59°, intensity 16, hkl 2 1 -1
38.36°, intensity 16, hkl 1 2 -1

Cell: 5.1972 5.5333 7.8996 Å, 90.00 92.43 90.00°
Space group P2_1/m (No. 11)
Unique sites:
Cs 0.2415 0.2500 0.1077 (multiplicity 2)
V 0.1857 0.7500 0.4648 (multiplicity 2)
Si 0.3264 0.2500 0.6351 (multiplicity 2)
O 0.1149 0.0241 0.6477 (multiplicity 4)
O 0.4134 0.7500 0.2409 (multiplicity 2)
O 0.4518 0.2500 0.4469 (multiplicity 2)